This entry pairs a crystal structure of Sc7Mn6Ge8 with its theoretical PXRD pattern. Radiation: Cu Kα (weighted mean of Kα1 and Kα2). Structure: a crystal structure in Alexandria, relaxed with GGA-PBE.
Intensities are scaled so that the largest is 100.

Cell and atoms:
```
data_Sc7Mn6Ge8
_chemical_formula_sum 'Sc28 Mn24 Ge32'
_cell_length_a 9.9274
_cell_length_b 9.9274
_cell_length_c 14.0037
_cell_angle_alpha 90.00
_cell_angle_beta 90.00
_cell_angle_gamma 90.00
_space_group_name_H-M_alt 'I 4/m m m'
_space_group_IT_number 139
_space_group_name_Hall '-I 4 2'
loop_
_atom_site_label
_atom_site_type_symbol
_atom_site_fract_x
_atom_site_fract_y
_atom_site_fract_z
Sc1 Sc 0.0000 0.0000 0.1631
Sc2 Sc 0.0000 0.2520 0.3096
Sc3 Sc 0.1812 0.1812 0.5000
Mn1 Mn 0.0000 0.3192 0.0958
Mn2 Mn 0.1126 0.1126 0.0000
Ge1 Ge 0.0000 0.0000 0.3903
Ge2 Ge 0.0000 0.3749 0.5000
Ge3 Ge 0.0000 0.5000 0.2500
Ge4 Ge 0.2021 0.2021 0.1606
```

Principal peaks in the range 2θ from 10° to 80°, in order of rising 2θ:
index, 2theta, I (rel.)
1 0 1, 10.92, 13
4 0 0, 36.19, 20
3 2 3, 37.96, 100
3 3 0, 38.49, 77
3 3 2, 40.67, 15
3 0 5, 42.27, 22
2 0 6, 42.79, 18
5 0 3, 49.91, 44
6 0 0, 55.56, 21
5 5 6, 79.69, 13